For LiB11, a DFT-relaxed cell (PBE, the Materials Project) gives the simulated powder XRD pattern in this record (Cu Kα).
Intensities are scaled so that the largest is 100.

Most intense lines, 2θ from 10° to 80°, in order of rising 2θ:
(1 1 1), 22.1°, d 4.020, rel. 64; (2 0 0), 25.6°, d 3.481, rel. 46; (3 1 1), 43.1°, d 2.099, rel. 24; (2 2 2), 45.1°, d 2.010, rel. 82; (3 3 1), 57.7°, d 1.597, rel. 100; (4 2 0), 59.4°, d 1.557, rel. 11; (5 1 1), 70.2°, d 1.340, rel. 32; (4 4 0), 77.6°, d 1.231, rel. 37

Atomic structure:
```
data_LiB11
_chemical_formula_sum 'Li4 B44'
_symmetry_space_group_name_H-M 'F -4 3 m'
_symmetry_Int_Tables_number 216
_symmetry_space_group_name_Hall 'F -4 2 3'
_cell_length_a 6.9626
_cell_length_b 6.9626
_cell_length_c 6.9626
_cell_angle_alpha 90.00
_cell_angle_beta 90.00
_cell_angle_gamma 90.00
loop_
_atom_site_label
_atom_site_type_symbol
_atom_site_fract_x
_atom_site_fract_y
_atom_site_fract_z
Li1 Li 0.0000 0.0000 0.0000
B1 B 0.0526 0.2500 0.7500
B2 B 0.1036 0.1036 0.3964
B3 B 0.2500 0.2500 0.2500
```